The following is a simulated powder X-ray diffraction pattern of LiTl3Mo2O8. It was derived from a structure optimized by DFT (GGA+U), using Cu Kα (λ = 1.5418 Å).

Atomic structure:
```
14
Lattice="6.1141 0.0000 0.0000 -3.0570 5.2949 0.0000 0.0000 0.0000 7.7935" Properties=species:S:1:pos:R:3 pbc="T T T"
Li 0.0000 0.0000 0.0000
Tl 0.0000 0.0000 3.8967
Tl 0.0000 3.5300 1.3405
Tl 3.0570 1.7650 6.4530
Mo 0.0000 3.5300 5.7063
Mo 3.0570 1.7650 2.0872
O 0.0000 1.8267 6.3157
O -1.4751 4.3816 6.3157
O 0.0000 3.5300 3.9166
O 1.5820 0.9133 1.4778
O 1.4751 4.3816 6.3157
O 3.0570 1.7650 3.8769
O 4.5321 0.9133 1.4778
O 3.0570 3.4682 1.4778
```

Top 6 peaks for 2θ = 5–70°, low angle first:
(1 0 1), 20.3 deg, d = 4.380 Å, I 55; (0 1 2), 28.4 deg, d = 3.138 Å, I 80; (1 1 0), 29.2 deg, d = 3.057 Å, I 100; (2 0 2), 41.2 deg, d = 2.190 Å, I 41; (1 1 3), 45.8 deg, d = 1.980 Å, I 26; (1 2 2), 51.3 deg, d = 1.780 Å, I 32